[1]
Structure and computed PXRD pattern of Ce2TmSb4 (a cell relaxed with GGA-PBE; λ = 1.5418 Å (Cu Kα)).
Lines closer than 0.1° are merged.

Largest 12 diffraction maxima, in order of rising 2θ, 10 to 80 degrees two-theta:
2θ/deg  d/Å  I_rel  index
21.9  4.059  13  1 0 1
25.7  3.470  35  1 0 2
30.9  2.897  13  0 0 4
31.0  2.884  9  1 0 3
33.1  2.709  100  1 1 2
37.3  2.408  25  1 0 4
41.7  2.167  34  2 0 0
49.6  1.838  11  2 1 2
52.8  1.734  16  2 0 4
57.2  1.611  15  2 1 4
60.4  1.532  11  2 2 0
70.6  1.334  22  3 1 2

```
data_Ce2TmSb4
_chemical_formula_sum 'Ce2 Tm1 Sb4'
_symmetry_space_group_name_H-M 'P -4 m 2'
_symmetry_Int_Tables_number 115
_cell_length_a 4.3338
_cell_length_b 4.3338
_cell_length_c 11.5882
_cell_angle_alpha 90.00
_cell_angle_beta 90.00
_cell_angle_gamma 90.00
loop_
_symmetry_equiv_pos_as_xyz
'x,y,z'
'y,-x,-z'
'-x,-y,z'
'-y,x,-z'
'-x,y,z'
'-y,-x,-z'
'x,-y,z'
'y,x,-z'
loop_
_atom_site_label
_atom_site_fract_x
_atom_site_fract_y
_atom_site_fract_z
_atom_site_occupancy
Ce1 0.0000 0.5000 0.2143 1
Tm1 0.0000 0.0000 0.5000 1
Sb1 0.0000 0.0000 0.0000 1
Sb2 0.0000 0.5000 0.6812 1
Sb3 0.5000 0.5000 0.0000 1
```


[2]
Structure and computed PXRD pattern of Ce6VSb10 (a cell relaxed with GGA-PBE; λ = 1.5418 Å (Cu Kα)).
Lines closer than 0.1° are merged.

Largest 12 diffraction maxima, in order of rising 2θ, 10 to 80 degrees two-theta:
2θ/deg  d/Å  I_rel  index
28.8  3.104  19  0 0 2
29.6  3.020  21  2 1 0
33.0  2.716  100  2 1 1
33.7  2.663  67  3 0 0
34.8  2.575  88  2 -1 2
41.8  2.162  12  2 2 1
43.4  2.087  15  4 -1 1
49.2  1.851  24  2 2 2
52.0  1.758  13  5 -2 1
53.7  1.707  24  3 -1 3
65.7  1.421  16  5 0 2
70.2  1.341  15  3 0 4

```
data_Ce6VSb10
_chemical_formula_sum 'Ce6 V1 Sb10'
_symmetry_space_group_name_H-M 'P -3 1 m'
_symmetry_Int_Tables_number 162
_symmetry_space_group_name_Hall '-P 3 2'
_cell_length_a 9.2262
_cell_length_b 9.2262
_cell_length_c 6.2073
_cell_angle_alpha 90.00
_cell_angle_beta 90.00
_cell_angle_gamma 120.00
loop_
_atom_site_label
_atom_site_fract_x
_atom_site_fract_y
_atom_site_fract_z
_atom_site_occupancy
Ce1 0.0000 0.3834 0.2489 1
V1 0.0000 0.0000 0.0000 1
Sb1 0.0000 0.2475 0.7429 1
Sb2 0.3333 0.6667 0.0000 1
Sb3 0.3333 0.6667 0.5000 1
```